# 1
For Tm4Rh, a cell relaxed with GGA-PBE gives the calculated powder diffraction line list in this record (copper Kα).

Cell and atoms:
```
Tm4Rh
1.0
0.000 6.026 3.853
6.017 0.000 3.853
6.017 6.026 0.000
Tm Rh
8 2
direct
0.032 0.968 0.199
0.051 0.449 0.218
0.126 0.524 0.707
0.449 0.051 0.282
0.524 0.126 0.643
0.543 0.607 0.124
0.607 0.543 0.726
0.968 0.032 0.801
0.663 0.663 0.337
0.913 0.913 0.587
```

Largest 8 diffraction maxima, in order of falling intensity, 2θ from 15° to 90°:
| 2θ/deg | I (rel.) |
| --- | --- |
| 31.31 | 100 |
| 33.65 | 52 |
| 36.54 | 34 |
| 29.67 | 33 |
| 39.92 | 32 |
| 55.24 | 22 |
| 40.89 | 19 |
| 42.46 | 17 |

# 2
For TmRh3, a cell relaxed with GGA-PBE gives the calculated powder diffraction line list in this record (copper Kα).

Cell and atoms:
```
TmRh3
1.0
4.016 0.000 0.000
0.000 4.016 0.000
0.000 0.000 4.016
Tm Rh
1 3
direct
0.000 0.000 0.000
0.000 0.500 0.500
0.500 0.000 0.500
0.500 0.500 0.000
```

Largest 8 diffraction maxima, in order of falling intensity, 2θ from 15° to 90°:
| 2θ/deg | I (rel.) |
| --- | --- |
| 38.84 | 100 |
| 45.15 | 49 |
| 79.09 | 37 |
| 65.77 | 31 |
| 83.36 | 11 |
| 22.13 | 5 |
| 31.50 | 4 |
| 50.84 | 2 |